The following is a computed powder diffraction line list of Li2Cu5Si4O14. It was derived from a cell relaxed with PBE, using Cu Kα (weighted mean of Kα1 and Kα2).

Principal peaks in the range 2θ = 10–80°, in order of rising 2θ:
13.66 deg, intensity 46
25.66 deg, intensity 57
28.97 deg, intensity 38
29.89 deg, intensity 100
33.85 deg, intensity 94
34.38 deg, intensity 20
35.45 deg, intensity 45
36.14 deg, intensity 19
38.17 deg, intensity 23
51.25 deg, intensity 18
57.70 deg, intensity 21
59.74 deg, intensity 19

Atomic structure:
Cell: 5.541 7.550 7.876 Å, 64.89 89.86 73.25°
Space group P-1 (No. 2)
Symmetry-distinct sites (fractional):
Li  0.238  0.388  0.449
Cu  0.000  0.500  0.000
Cu  0.079  0.112  0.815
Cu  0.329  0.072  0.286
Si  0.198  0.714  0.597
Si  0.495  0.272  0.860
O  0.032  0.312  0.266
O  0.101  0.675  0.423
O  0.210  0.850  0.039
O  0.290  0.914  0.544
O  0.304  0.274  0.020
O  0.409  0.163  0.735
O  0.461  0.515  0.716


The following is a computed powder diffraction line list of Li2CuSi4O10. It was derived from a cell relaxed with PBE, using Cu Kα (weighted mean of Kα1 and Kα2).

Principal peaks in the range 2θ = 10–80°, in order of rising 2θ:
14.25 deg, intensity 35
15.13 deg, intensity 25
17.33 deg, intensity 34
18.16 deg, intensity 33
20.03 deg, intensity 38
23.86 deg, intensity 100
28.91 deg, intensity 39
29.22 deg, intensity 27
29.48 deg, intensity 32
30.65 deg, intensity 25
34.40 deg, intensity 22
35.07 deg, intensity 27

Atomic structure:
Cell: 6.887 7.375 9.624 Å, 100.56 103.01 116.84°
Space group P-1 (No. 2)
Symmetry-distinct sites (fractional):
Li  0.131  0.241  0.476
Li  0.282  0.799  0.934
Cu  0.260  0.205  0.070
Si  0.096  0.833  0.236
Si  0.261  0.536  0.315
Si  0.302  0.113  0.739
Si  0.402  0.778  0.648
O  0.032  0.833  0.064
O  0.069  0.130  0.674
O  0.073  0.602  0.241
O  0.172  0.287  0.242
O  0.219  0.870  0.626
O  0.289  0.566  0.497
O  0.357  0.025  0.352
O  0.384  0.127  0.913
O  0.430  0.719  0.801
O  0.485  0.297  0.687


The following is a computed powder diffraction line list of Li2CuSnO4. It was derived from a cell relaxed with PBE, using Cu Kα (weighted mean of Kα1 and Kα2).

Principal peaks in the range 2θ = 10–80°, in order of rising 2θ:
23.40 deg, intensity 100
36.17 deg, intensity 32
36.38 deg, intensity 25
39.22 deg, intensity 23
43.35 deg, intensity 36
49.84 deg, intensity 26
54.56 deg, intensity 12
57.84 deg, intensity 13
59.87 deg, intensity 25
62.97 deg, intensity 11
72.12 deg, intensity 10
76.75 deg, intensity 11

Atomic structure:
Cell: 4.175 4.175 9.189 Å, 90.00 90.00 90.00°
Space group I-4m2 (No. 119)
Symmetry-distinct sites (fractional):
Li  0.000  0.000  0.000
Li  0.000  0.500  0.250
Cu  0.000  0.500  0.750
Sn  0.000  0.000  0.500
O  0.000  0.000  0.274
O  0.000  0.500  0.501


The following is a computed powder diffraction line list of Li5Cu5Sn2O12. It was derived from a cell relaxed with PBE, using Cu Kα (weighted mean of Kα1 and Kα2).

Principal peaks in the range 2θ = 10–80°, in order of rising 2θ:
17.75 deg, intensity 77
20.41 deg, intensity 44
21.07 deg, intensity 80
32.42 deg, intensity 27
35.83 deg, intensity 25
35.95 deg, intensity 26
36.13 deg, intensity 74
37.31 deg, intensity 79
44.06 deg, intensity 100
58.96 deg, intensity 36
59.17 deg, intensity 37
76.65 deg, intensity 24

Atomic structure:
Cell: 5.620 8.704 9.999 Å, 90.00 92.11 90.00°
Space group C2 (No. 5)
Symmetry-distinct sites (fractional):
Li  0.000  0.000  0.000
Li  0.228  0.825  0.240
Li  0.244  0.984  0.755
Cu  0.000  0.319  0.000
Cu  0.000  0.492  0.500
Cu  0.000  0.824  0.500
Cu  0.234  0.151  0.245
Sn  0.000  0.158  0.500
Sn  0.000  0.659  0.000
O  0.099  0.995  0.363
O  0.112  0.331  0.377
O  0.124  0.808  0.860
O  0.125  0.482  0.882
O  0.155  0.656  0.401
O  0.160  0.165  0.895


The following is a computed powder diffraction line list of Li2CuSnO4. It was derived from a cell relaxed with PBE, using Cu Kα (weighted mean of Kα1 and Kα2).

Principal peaks in the range 2θ = 10–80°, in order of rising 2θ:
17.54 deg, intensity 10
17.94 deg, intensity 100
32.52 deg, intensity 23
34.62 deg, intensity 34
35.56 deg, intensity 30
36.34 deg, intensity 10
39.18 deg, intensity 26
42.66 deg, intensity 43
45.07 deg, intensity 17
56.59 deg, intensity 11
58.73 deg, intensity 15
59.87 deg, intensity 14

Atomic structure:
Cell: 5.418 3.017 5.541 Å, 90.00 114.14 90.00°
Space group P2/m (No. 10)
Symmetry-distinct sites (fractional):
Li  0.000  0.000  0.000
Li  0.000  0.500  0.500
Cu  0.500  0.000  0.500
Sn  0.500  0.500  0.000
O  0.236  0.000  0.779
O  0.297  0.500  0.254


The following is a computed powder diffraction line list of Li2CuSnO4. It was derived from a cell relaxed with PBE, using Cu Kα (weighted mean of Kα1 and Kα2).

Principal peaks in the range 2θ = 10–80°, in order of rising 2θ:
17.50 deg, intensity 30
17.81 deg, intensity 100
32.47 deg, intensity 10
32.65 deg, intensity 16
34.70 deg, intensity 37
35.42 deg, intensity 24
36.07 deg, intensity 22
38.76 deg, intensity 32
42.83 deg, intensity 50
44.60 deg, intensity 14
47.26 deg, intensity 11
59.12 deg, intensity 33

Atomic structure:
Cell: 5.899 6.048 9.293 Å, 90.00 90.00 90.00°
Space group Imma (No. 74)
Symmetry-distinct sites (fractional):
Li  0.000  0.000  0.000
Li  0.250  0.250  0.250
Cu  0.250  0.250  0.750
Sn  0.000  0.000  0.500
O  0.000  0.025  0.726
O  0.244  0.250  0.480